SmDyPa2P4: computed X-ray diffraction stick pattern (copper Kα), based on a DFT-relaxed cell (PBE, Alexandria).
Lines closer than 0.1° are merged.

Structural model:
Cell lengths 6.938, 4.006, 6.938 Å; angles 90.00, 109.48, 90.00 degrees
Space group P2/m (No. 10)
Unique sites:
1 Sm 0.000 0.000 0.000 x1
2 Dy 0.000 0.500 0.500 x1
3 Pa 0.500 0.000 0.500 x1
4 Pa 0.500 0.500 0.000 x1
5 P 0.257 0.000 0.750 x2
6 P 0.259 0.500 0.256 x2

Most intense lines, 2θ = 15–90°, in order of rising 2θ:
- (2 0 0), 2θ = 27.3°, rel. 99.0
- (1 1 1), 2θ = 31.6°, rel. 100.0
- (0 2 0), 2θ = 45.3°, rel. 73.9
- (3 1 1), 2θ = 53.7°, rel. 49.1
- (0 0 4), 2θ = 56.3°, rel. 26.0
- (2 2 2), 2θ = 66.0°, rel. 12.1
- (4 0 2), 2θ = 72.8°, rel. 20.1
- (1 3 1), 2θ = 75.0°, rel. 33.7
- (2 0 -6), 2θ = 83.6°, rel. 25.8
- (6 0 -4), 2θ = 90.0°, rel. 4.1

Tb2DyPaP4: computed X-ray diffraction stick pattern (copper Kα), based on a DFT-relaxed cell (PBE, Alexandria).
Lines closer than 0.1° are merged.

Structural model:
Cell lengths 6.920, 4.007, 6.927 Å; angles 90.00, 109.47, 90.00 degrees
Space group P2/m (No. 10)
Unique sites:
1 Tb 0.000 0.000 0.000 x1
2 Tb 0.500 0.500 0.000 x1
3 Dy 0.000 0.500 0.500 x1
4 Pa 0.500 0.000 0.500 x1
5 P 0.253 0.000 0.745 x2
6 P 0.254 0.500 0.255 x2

Most intense lines, 2θ = 15–90°, in order of rising 2θ:
- (2 0 0), 2θ = 27.3°, rel. 93.5
- (1 1 1), 2θ = 31.6°, rel. 100.0
- (0 2 0), 2θ = 45.3°, rel. 36.8
- (2 0 2), 2θ = 45.4°, rel. 36.7
- (1 1 3), 2θ = 53.7°, rel. 34.5
- (0 0 4), 2θ = 56.3°, rel. 19.3
- (2 2 2), 2θ = 66.1°, rel. 12.0
- (4 0 2), 2θ = 72.9°, rel. 12.5
- (4 2 0), 2θ = 75.1°, rel. 22.2
- (5 1 1), 2θ = 83.8°, rel. 14.8

Dy4P3Rh12Pb: computed X-ray diffraction stick pattern (copper Kα), based on a DFT-relaxed cell (PBE, Alexandria).
Lines closer than 0.1° are merged.

Structural model:
Cell lengths 9.123, 9.123, 9.123 Å; angles 90.00, 90.00, 90.00 degrees
Space group Im-3m (No. 229)
Unique sites:
1 Dy 0.250 0.250 0.250 x8
2 P 0.000 0.000 0.500 x6
3 Rh 0.000 0.000 0.271 x12
4 Rh 0.000 0.250 0.500 x12
5 Pb 0.000 0.000 0.000 x2

Most intense lines, 2θ = 15–90°, in order of rising 2θ:
- (2 2 0), 2θ = 27.7°, rel. 28.3
- (3 1 0), 2θ = 31.0°, rel. 7.8
- (2 2 2), 2θ = 34.0°, rel. 100.0
- (3 2 1), 2θ = 36.9°, rel. 10.7
- (4 0 0), 2θ = 39.5°, rel. 93.0
- (4 2 2), 2θ = 48.9°, rel. 10.8
- (4 4 0), 2θ = 57.1°, rel. 61.1
- (6 2 2), 2θ = 68.2°, rel. 36.0
- (4 4 4), 2θ = 71.7°, rel. 20.0
- (8 0 0), 2θ = 85.1°, rel. 9.4

DyP2Rh5Pb: computed X-ray diffraction stick pattern (copper Kα), based on a DFT-relaxed cell (PBE, Alexandria).
Lines closer than 0.1° are merged.

Structural model:
Cell lengths 4.061, 4.061, 10.303 Å; angles 90.00, 90.00, 90.00 degrees
Space group P4/mmm (No. 123)
Unique sites:
1 Dy 0.000 0.000 0.000 x1
2 P 0.500 0.500 0.218 x2
3 Rh 0.000 0.500 0.314 x4
4 Rh 0.500 0.500 0.000 x1
5 Pb 0.000 0.000 0.500 x1

Most intense lines, 2θ = 15–90°, in order of rising 2θ:
- (1 0 1), 2θ = 23.5°, rel. 15.4
- (0 0 3), 2θ = 25.9°, rel. 20.9
- (1 0 2), 2θ = 28.0°, rel. 37.8
- (1 1 2), 2θ = 35.8°, rel. 100.0
- (1 1 3), 2θ = 41.0°, rel. 18.6
- (2 0 0), 2θ = 44.6°, rel. 48.6
- (1 1 4), 2θ = 47.4°, rel. 25.1
- (2 2 0), 2θ = 64.9°, rel. 15.7
- (2 0 6), 2θ = 72.0°, rel. 15.5
- (3 1 2), 2θ = 76.4°, rel. 22.1

PmDy2P3: computed X-ray diffraction stick pattern (copper Kα), based on a DFT-relaxed cell (PBE, Alexandria).
Lines closer than 0.1° are merged.

Structural model:
Cell lengths 4.052, 5.728, 12.142 Å; angles 90.00, 90.00, 90.00 degrees
Space group Immm (No. 71)
Unique sites:
1 Pm 0.000 0.000 0.000 x2
2 Dy 0.000 0.000 0.334 x4
3 P 0.000 0.500 0.000 x2
4 P 0.000 0.500 0.329 x4

Most intense lines, 2θ = 15–90°, in order of rising 2θ:
- (1 1 0), 2θ = 27.0°, rel. 85.2
- (1 0 3), 2θ = 31.2°, rel. 100.0
- (2 0 0), 2θ = 44.8°, rel. 73.2
- (1 1 6), 2θ = 53.0°, rel. 41.8
- (2 2 0), 2θ = 55.6°, rel. 25.6
- (0 4 0), 2θ = 65.2°, rel. 11.9
- (0 1 9), 2θ = 71.9°, rel. 16.9
- (3 0 3), 2θ = 74.0°, rel. 32.8
- (3 2 3), 2θ = 82.5°, rel. 24.9
- (2 1 9), 2θ = 88.8°, rel. 13.4

PmDyP: computed X-ray diffraction stick pattern (copper Kα), based on a DFT-relaxed cell (PBE, Alexandria).
Lines closer than 0.1° are merged.

Structural model:
Cell lengths 3.9572, 3.9572, 6.5148 Å; angles 90.00, 90.00, 120.00 degrees
Space group P3m1 (No. 156)
Unique sites:
1 Pm 0.0000 0.0000 0.0000 x1
2 Dy 0.6667 0.3333 0.4922 x1
3 P 0.3333 0.6667 0.2555 x1

Most intense lines, 2θ = 15–90°, in order of rising 2θ:
- (1 0 0), 2θ = 26.0°, rel. 14.3
- (0 0 2), 2θ = 27.4°, rel. 21.3
- (0 1 1), 2θ = 29.4°, rel. 100.0
- (0 1 2), 2θ = 38.1°, rel. 23.9
- (1 1 0), 2θ = 45.9°, rel. 23.6
- (1 0 3), 2θ = 49.7°, rel. 23.8
- (1 1 2), 2θ = 54.2°, rel. 19.7
- (2 0 1), 2θ = 55.4°, rel. 17.0
- (1 2 1), 2θ = 74.7°, rel. 14.0
- (1 1 4), 2θ = 75.6°, rel. 10.6

PmPrDy2P4: computed X-ray diffraction stick pattern (copper Kα), based on a DFT-relaxed cell (PBE, Alexandria).
Lines closer than 0.1° are merged.

Structural model:
Cell lengths 5.783, 5.783, 11.577 Å; angles 90.00, 90.00, 90.00 degrees
Space group I4/mmm (No. 139)
Unique sites:
1 Pm 0.000 0.000 0.000 x2
2 Pr 0.000 0.000 0.500 x2
3 Dy 0.000 0.500 0.250 x4
4 P 0.000 0.000 0.248 x4
5 P 0.000 0.500 0.000 x4

Most intense lines, 2θ = 15–90°, in order of rising 2θ:
- (1 1 2), 2θ = 26.7°, rel. 83.4
- (2 0 0), 2θ = 30.9°, rel. 100.0
- (2 2 0), 2θ = 44.3°, rel. 73.3
- (3 1 2), 2θ = 52.5°, rel. 41.1
- (2 2 4), 2θ = 55.0°, rel. 25.7
- (4 0 0), 2θ = 64.4°, rel. 11.9
- (3 3 2), 2θ = 71.0°, rel. 16.6
- (4 2 0), 2θ = 73.2°, rel. 32.9
- (4 2 4), 2θ = 81.5°, rel. 24.9
- (3 3 6), 2θ = 87.6°, rel. 6.5

PmDy2Th3P6: computed X-ray diffraction stick pattern (copper Kα), based on a DFT-relaxed cell (PBE, Alexandria).
Lines closer than 0.1° are merged.

Structural model:
Cell lengths 7.121, 12.314, 7.064 Å; angles 90.00, 109.62, 90.00 degrees
Space group C2/m (No. 12)
Unique sites:
1 Pm 0.000 0.000 0.000 x2
2 Dy 0.000 0.333 0.000 x4
3 Th 0.000 0.166 0.500 x4
4 Th 0.000 0.500 0.500 x2
5 P 0.244 0.500 0.245 x4
6 P 0.249 0.331 0.754 x8

Most intense lines, 2θ = 15–90°, in order of rising 2θ:
- (2 0 0), 2θ = 26.6°, rel. 73.9
- (0 0 2), 2θ = 26.8°, rel. 24.2
- (1 3 1), 2θ = 30.9°, rel. 100.0
- (0 6 0), 2θ = 44.1°, rel. 37.5
- (2 0 2), 2θ = 44.3°, rel. 36.9
- (2 6 0), 2θ = 52.2°, rel. 12.4
- (3 3 1), 2θ = 52.3°, rel. 24.7
- (4 0 0), 2θ = 54.8°, rel. 19.9
- (2 6 2), 2θ = 64.3°, rel. 12.3
- (3 3 3), 2θ = 73.2°, rel. 16.9

Pr5Dy3P8: computed X-ray diffraction stick pattern (copper Kα), based on a DFT-relaxed cell (PBE, Alexandria).
Lines closer than 0.1° are merged.

Structural model:
Cell lengths 8.2638, 8.2638, 20.2389 Å; angles 90.00, 90.00, 120.00 degrees
Space group R-3m (No. 166, hexagonal axes)
Unique sites:
1 Pr 0.0000 0.0000 0.0000 x3
2 Pr 0.0000 0.0000 0.5000 x3
3 Pr 0.0000 0.5000 0.0000 x9
4 Dy 0.0000 0.5000 0.5000 x9
5 P 0.0000 0.0000 0.2462 x6
6 P 0.0053 0.5026 0.7526 x18

Most intense lines, 2θ = 15–90°, in order of rising 2θ:
- (0 0 6), 2θ = 26.4°, rel. 81.7
- (0 2 4), 2θ = 30.6°, rel. 100.0
- (2 2 0), 2θ = 43.8°, rel. 73.4
- (0 2 10), 2θ = 51.9°, rel. 40.6
- (4 0 4), 2θ = 54.4°, rel. 25.7
- (0 4 8), 2θ = 63.7°, rel. 11.9
- (2 0 14), 2θ = 70.2°, rel. 16.4
- (2 4 4), 2θ = 72.3°, rel. 32.8
- (6 0 0), 2θ = 80.5°, rel. 24.7
- (0 0 18), 2θ = 86.6°, rel. 12.8

PrDy4P5: computed X-ray diffraction stick pattern (copper Kα), based on a DFT-relaxed cell (PBE, Alexandria).
Lines closer than 0.1° are merged.

Structural model:
Cell lengths 13.415, 4.050, 9.918 Å; angles 90.00, 119.50, 90.00 degrees
Space group C2/m (No. 12)
Unique sites:
1 Pr 0.000 0.000 0.000 x2
2 Dy 0.099 0.500 0.400 x4
3 Dy 0.201 0.000 0.797 x4
4 P 0.000 0.000 0.500 x2
5 P 0.104 0.500 0.896 x4
6 P 0.203 0.000 0.306 x4

Most intense lines, 2θ = 15–90°, in order of rising 2θ:
- (1 1 1), 2θ = 27.0°, rel. 85.6
- (2 0 2), 2θ = 31.2°, rel. 100.0
- (0 2 0), 2θ = 44.8°, rel. 73.1
- (6 0 1), 2θ = 53.1°, rel. 42.0
- (2 2 2), 2θ = 55.6°, rel. 25.5
- (4 0 4), 2θ = 65.2°, rel. 11.8
- (6 2 1), 2θ = 71.9°, rel. 14.1
- (3 3 -2), 2θ = 74.0°, rel. 16.4
- (7 1 2), 2θ = 74.1°, rel. 16.3
- (5 3 0), 2θ = 82.5°, rel. 18.6

Pr2DyP3: computed X-ray diffraction stick pattern (copper Kα), based on a DFT-relaxed cell (PBE, Alexandria).
Lines closer than 0.1° are merged.

Structural model:
Cell lengths 4.145, 4.145, 17.562 Å; angles 90.00, 90.00, 90.00 degrees
Space group I4/mmm (No. 139)
Unique sites:
1 Pr 0.000 0.000 0.166 x4
2 Dy 0.000 0.000 0.500 x2
3 P 0.000 0.000 0.000 x2
4 P 0.000 0.000 0.337 x4

Most intense lines, 2θ = 15–90°, in order of rising 2θ:
- (1 0 3), 2θ = 26.3°, rel. 81.2
- (1 1 0), 2θ = 30.5°, rel. 100.0
- (2 0 0), 2θ = 43.7°, rel. 73.4
- (1 0 9), 2θ = 51.7°, rel. 40.3
- (2 0 6), 2θ = 54.2°, rel. 25.8
- (2 2 0), 2θ = 63.5°, rel. 8.0
- (2 1 9), 2θ = 70.0°, rel. 16.3
- (3 1 0), 2θ = 72.1°, rel. 32.9
- (3 1 6), 2θ = 80.3°, rel. 24.7
- (3 0 9), 2θ = 86.2°, rel. 9.4

PrDyPu2P4: computed X-ray diffraction stick pattern (copper Kα), based on a DFT-relaxed cell (PBE, Alexandria).
Lines closer than 0.1° are merged.

Structural model:
Cell lengths 5.734, 5.734, 11.432 Å; angles 90.00, 90.00, 90.00 degrees
Space group I4/mmm (No. 139)
Unique sites:
1 Pr 0.000 0.000 0.000 x2
2 Dy 0.000 0.000 0.500 x2
3 Pu 0.000 0.500 0.250 x4
4 P 0.000 0.000 0.255 x4
5 P 0.000 0.500 0.000 x4

Most intense lines, 2θ = 15–90°, in order of rising 2θ:
- (1 1 2), 2θ = 27.0°, rel. 99.3
- (2 0 0), 2θ = 31.2°, rel. 100.0
- (2 2 0), 2θ = 44.8°, rel. 74.3
- (3 1 2), 2θ = 53.0°, rel. 33.2
- (1 1 6), 2θ = 53.1°, rel. 16.5
- (2 2 4), 2θ = 55.6°, rel. 26.2
- (3 1 6), 2θ = 71.9°, rel. 13.6
- (4 2 0), 2θ = 74.0°, rel. 22.8
- (2 0 8), 2θ = 74.1°, rel. 11.3
- (4 2 4), 2θ = 82.5°, rel. 17.3